[1]
Calculated powder diffractogram
Compound: IrSeCl3
Radiation: Cu Kα
Structure: a GGA-PBE-relaxed structure
Lines closer than 0.1° are merged.

Largest 10 diffraction maxima, most intense first, 2θ from 10° to 80°:
2θ 11.8, d = 7.506 Å, intensity 1000
2θ 12.9, d = 6.844 Å, intensity 429
2θ 10.7, d = 8.233 Å, intensity 330
2θ 17.9, d = 4.957 Å, intensity 322
2θ 29.0, d = 3.076 Å, intensity 105
2θ 32.2, d = 2.778 Å, intensity 102
2θ 45.7, d = 1.985 Å, intensity 87
2θ 35.8, d = 2.510 Å, intensity 81
2θ 16.0, d = 5.547 Å, intensity 80
2θ 23.7, d = 3.753 Å, intensity 76

Cell and atoms:
```
data_IrSeCl3
_chemical_formula_sum 'Ir4 Se4 Cl12'
_space_group_name_H-M_alt 'P 1 2/c 1'
_space_group_IT_number 13
_cell_length_a 7.5257
_cell_length_b 8.2327
_cell_length_c 12.3441
_cell_angle_alpha 90.00
_cell_angle_beta 94.14
_cell_angle_gamma 90.00
loop_
_space_group_symop_operation_xyz
'x,y,z'
'-x,-y,-z'
'-x,y,-z+1/2'
'x,-y,z+1/2'
loop_
_atom_site_label
_atom_site_fract_x
_atom_site_fract_y
_atom_site_fract_z
Ir1 0.0646 0.1257 0.1169
Se1 0.0407 0.3989 0.1626
Cl1 0.0818 0.1585 0.5590
Cl2 0.2015 0.0630 0.2909
Cl3 0.3348 0.1702 0.0410
```

[2]
Calculated powder diffractogram
Compound: Sm4Ir2Cl
Radiation: Cu Kα
Structure: a GGA-PBE-relaxed structure
Lines closer than 0.1° are merged.

Largest 10 diffraction maxima, most intense first, 2θ from 10° to 80°:
2θ 29.8, d = 2.999 Å, intensity 1000
2θ 42.6, d = 2.121 Å, intensity 812
2θ 12.8, d = 6.926 Å, intensity 724
2θ 39.0, d = 2.309 Å, intensity 393
2θ 24.6, d = 3.617 Å, intensity 275
2θ 70.2, d = 1.341 Å, intensity 243
2θ 52.9, d = 1.732 Å, intensity 229
2θ 78.0, d = 1.224 Å, intensity 198
2θ 44.7, d = 2.028 Å, intensity 195
2θ 54.6, d = 1.680 Å, intensity 178

Cell and atoms:
a b c (Å): 11.9969 11.9969 11.9969
angles (deg): 90.00 90.00 90.00
Space group Fd-3m (No. 227, origin choice 2)
Symmetry-distinct sites (fractional):
Sm  0.0153  0.0153  0.2347 (multiplicity 32)
Ir  0.0000  0.0000  0.0000 (multiplicity 16)
Cl  0.1250  0.1250  0.6250 (multiplicity 8)

[3]
Calculated powder diffractogram
Compound: SrIrCl5
Radiation: Cu Kα
Structure: a GGA-PBE-relaxed structure
Lines closer than 0.1° are merged.

Largest 10 diffraction maxima, most intense first, 2θ from 10° to 80°:
2θ 13.1, d = 6.769 Å, intensity 1000
2θ 27.2, d = 3.277 Å, intensity 416
2θ 23.8, d = 3.744 Å, intensity 298
2θ 14.4, d = 6.155 Å, intensity 278
2θ 37.2, d = 2.418 Å, intensity 260
2θ 29.0, d = 3.078 Å, intensity 209
2θ 21.0, d = 4.232 Å, intensity 169
2θ 35.7, d = 2.517 Å, intensity 128
2θ 46.4, d = 1.959 Å, intensity 124
2θ 35.8, d = 2.506 Å, intensity 100

Cell and atoms:
```
data_SrIrCl5
_chemical_formula_sum 'Sr4 Ir4 Cl20'
_space_group_name_H-M_alt 'C 1 2/c 1'
_space_group_IT_number 15
_cell_length_a 14.2716
_cell_length_b 6.9106
_cell_length_c 8.9099
_cell_angle_alpha 90.00
_cell_angle_beta 108.44
_cell_angle_gamma 90.00
loop_
_space_group_symop_operation_xyz
'x,y,z'
'-x,-y,-z'
'-x,y,-z+1/2'
'x,-y,z+1/2'
'x+1/2,y+1/2,z'
'-x+1/2,-y+1/2,-z'
'-x+1/2,y+1/2,-z+1/2'
'x+1/2,-y+1/2,z+1/2'
loop_
_atom_site_label
_atom_site_fract_x
_atom_site_fract_y
_atom_site_fract_z
Sr1 0.0000 0.0376 0.2500
Ir1 0.0000 0.5000 0.0000
Cl1 0.0000 0.3910 0.7500
Cl2 0.1204 0.2533 0.5267
Cl3 0.1218 0.2561 0.0977
```